Record 1
Dy2ErTm3Te2Os: computed X-ray powder pattern (CuKα), based on DFT lattice parameters and positions (PBE).

Atomic structure:
Unit cell a=4.053 b=14.282 c=8.181 alpha=90.00 beta=90.00 gamma=90.00
Space group Amm2 (No. 38)
Symmetry-distinct sites (fractional):
Dy 0.000 0.195 0.000
Er 0.000 0.000 0.418
Tm 0.500 0.000 0.042
Tm 0.500 0.119 0.686
Te 0.500 0.167 0.305
Os 0.000 0.000 0.801

Peak list (12 most intense, 10 to 90 degrees two-theta, by angle)
(hkl), Position (°2θ), d/Å, I_rel
0 2 0, 12.44, 7.114, 25
1 3 1, 31.00, 2.885, 100
0 4 2, 33.27, 2.693, 37
1 4 0, 33.45, 2.679, 47
1 2 2, 33.56, 2.670, 54
0 3 3, 38.03, 2.366, 29
1 5 1, 40.20, 2.243, 36
1 1 3, 40.36, 2.235, 18
2 0 0, 44.72, 2.026, 26
2 4 2, 56.86, 1.619, 16
2 3 3, 60.12, 1.539, 15
1 7 3, 61.12, 1.516, 23



Record 2
Dy2Er3ZrTe2Os: computed X-ray powder pattern (CuKα), based on DFT lattice parameters and positions (PBE).

Atomic structure:
Unit cell a=3.969 b=14.112 c=8.331 alpha=90.00 beta=90.00 gamma=90.00
Space group Amm2 (No. 38)
Symmetry-distinct sites (fractional):
Dy 0.000 0.118 0.000
Er 0.500 0.000 0.287
Er 0.500 0.191 0.681
Zr 0.000 0.000 0.633
Te 0.000 0.166 0.379
Os 0.500 0.000 0.841

Peak list (12 most intense, 10 to 90 degrees two-theta, by angle)
(hkl), Position (°2θ), d/Å, I_rel
1 0 2, 31.12, 2.874, 89
1 3 1, 31.38, 2.850, 95
0 4 2, 33.28, 2.692, 41
0 5 1, 33.52, 2.673, 38
1 2 2, 33.68, 2.661, 100
1 4 0, 34.00, 2.637, 62
0 3 3, 37.61, 2.391, 57
0 6 0, 38.27, 2.352, 27
1 4 2, 40.49, 2.228, 29
1 5 1, 40.69, 2.217, 30
2 0 0, 45.72, 1.985, 46
2 3 3, 60.63, 1.527, 47



Record 3
Dy2ErPdPt2Pb3: computed X-ray powder pattern (CuKα), based on DFT lattice parameters and positions (PBE).

Atomic structure:
Unit cell a=3.930 b=13.435 c=7.771 alpha=90.00 beta=90.00 gamma=90.00
Space group Amm2 (No. 38)
Symmetry-distinct sites (fractional):
Dy 0.000 0.203 0.000
Er 0.000 0.000 0.390
Pd 0.000 0.000 0.795
Pt 0.500 0.166 0.297
Pb 0.500 0.000 0.059
Pb 0.500 0.131 0.666

Peak list (12 most intense, 10 to 90 degrees two-theta, by angle)
(hkl), Position (°2θ), d/Å, I_rel
1 0 0, 22.62, 3.930, 10
1 3 1, 32.42, 2.762, 100
1 4 0, 35.13, 2.555, 77
0 1 3, 35.32, 2.541, 54
0 6 0, 40.24, 2.241, 44
1 4 2, 42.35, 2.134, 31
2 0 0, 46.20, 1.965, 25
0 5 3, 48.84, 1.865, 9
2 1 3, 59.46, 1.555, 24
2 6 0, 62.90, 1.478, 24
1 7 3, 64.95, 1.436, 35
3 3 1, 76.79, 1.241, 9